The following is a theoretical X-ray diffraction stick pattern of AlAs4Cl. It was derived from a PBE-relaxed structure, using Cu Kα (weighted mean of Kα1 and Kα2).

Most intense lines, 10 to 80 degrees two-theta, sorted by position:
two_theta	d [Å]	I_rel
17.91	4.953	100
29.45	3.033	19
34.68	2.586	90
36.28	2.476	69
46.13	1.968	23
52.24	1.751	25
55.68	1.651	64
61.11	1.516	23

Crystal structure
```
AlAs4Cl
1.0
0.0000 4.2890 4.2890
4.2890 0.0000 4.2890
4.2890 4.2890 0.0000
Al As Cl
1 4 1
direct
0.0000 0.0000 0.0000 Al
0.1943 0.6019 0.6019 As
0.6019 0.1943 0.6019 As
0.6019 0.6019 0.1943 As
0.6019 0.6019 0.6019 As
0.2500 0.2500 0.2500 Cl
```